(1)
Starting from a GGA-PBE-relaxed structure, the XRD peak list of Rb14Pm2O9 was simulated for Cu Kα X-rays.

Top 6 peaks for 5 to 70 degrees two-theta, low angle first:
2θ/deg	I_rel
25.91	26
26.11	23
26.36	100
33.83	39
37.47	34
37.76	45

Structure:
```
Rb14Pm2O9
1.0
8.3138 0.0000 0.0000
-4.1569 7.1999 0.0000
0.0000 0.0000 11.6280
Rb Pm O
14 2 9
Direct
0.0000 0.0000 0.2484 Rb
0.0000 0.0000 0.7516 Rb
0.0395 0.6756 0.9077 Rb
0.0978 0.3869 0.5918 Rb
0.2891 0.9022 0.5918 Rb
0.3244 0.3639 0.9077 Rb
0.3639 0.0395 0.0923 Rb
0.3869 0.2891 0.4082 Rb
0.6131 0.7109 0.5918 Rb
0.6361 0.9605 0.9077 Rb
0.6756 0.6361 0.0923 Rb
0.7109 0.0978 0.4082 Rb
0.9022 0.6131 0.4082 Rb
0.9605 0.3244 0.0923 Rb
0.3333 0.6667 0.2760 Pm
0.6667 0.3333 0.7240 Pm
0.0000 0.0000 0.0000 O
0.1146 0.3824 0.3416 O
0.2678 0.8854 0.3416 O
0.3333 0.6667 0.0823 O
0.3824 0.2678 0.6584 O
0.6176 0.7322 0.3416 O
0.6667 0.3333 0.9177 O
0.7322 0.1146 0.6584 O
0.8854 0.6176 0.6584 O
```



(2)
Starting from a GGA-PBE-relaxed structure, the XRD peak list of Pm8Sm5Sc was simulated for Cu Kα X-rays.

Top 6 peaks for 5 to 70 degrees two-theta, low angle first:
2θ/deg	I_rel
26.95	66
29.36	65
30.35	100
31.18	63
32.53	40
33.31	70

Structure:
```
Pm8Sm5Sc
1.0
6.3990 -5.2516 0.0000
6.3990 5.2516 0.0000
-5.5195 0.0000 7.1143
Pm Sm Sc
8 5 1
Direct
0.0280 0.0280 0.2111 Pm
0.1764 0.5341 0.5410 Pm
0.2351 0.1774 0.7188 Pm
0.4075 0.1801 0.2815 Pm
0.4659 0.8236 0.4590 Pm
0.8199 0.5925 0.7185 Pm
0.8226 0.7649 0.2812 Pm
0.9720 0.9720 0.7889 Pm
0.0787 0.4363 0.0822 Sm
0.3230 0.6770 0.0000 Sm
0.5637 0.9213 0.9178 Sm
0.6140 0.3306 0.7888 Sm
0.6694 0.3860 0.2112 Sm
0.8211 0.1789 0.5000 Sc
```



(3)
Starting from a GGA-PBE-relaxed structure, the XRD peak list of Pr2TiAlIr2 was simulated for Cu Kα X-rays.

Top 6 peaks for 5 to 70 degrees two-theta, low angle first:
2θ/deg	I_rel
28.12	57
30.24	47
33.06	100
38.40	33
40.04	29
41.76	62

Structure:
```
Pr2TiAlIr2
1.0
-2.9553 6.9535 3.1738
2.9553 -6.9535 3.1738
2.9553 6.9535 -3.1738
Pr Ti Al Ir
4 2 2 4
Direct
0.1757 0.2434 0.4191 Pr
0.3243 0.7434 0.0678 Pr
0.6757 0.2566 0.9322 Pr
0.8243 0.7566 0.5809 Pr
0.2500 0.7500 0.5000 Ti
0.7500 0.2500 0.5000 Ti
0.2500 0.2500 0.0000 Al
0.7500 0.7500 0.0000 Al
0.1019 0.7419 0.8438 Ir
0.3981 0.2419 0.6400 Ir
0.6019 0.7581 0.3600 Ir
0.8981 0.2581 0.1562 Ir
```



(4)
Starting from a GGA-PBE-relaxed structure, the XRD peak list of PrPuPb6 was simulated for Cu Kα X-rays.

Top 6 peaks for 5 to 70 degrees two-theta, low angle first:
2θ/deg	I_rel
31.51	55
32.57	100
45.16	21
56.78	42
58.78	19
68.23	12

Structure:
```
PrPuPb6
1.0
5.6790 0.0000 0.0000
0.0000 5.6790 0.0000
0.0000 0.0000 7.5426
Pr Pu Pb
1 1 6
Direct
0.0000 0.0000 0.0000 Pr
0.0000 0.0000 0.5000 Pu
0.0000 0.5000 0.2552 Pb
0.0000 0.5000 0.7448 Pb
0.5000 0.0000 0.2552 Pb
0.5000 0.0000 0.7448 Pb
0.5000 0.5000 0.0000 Pb
0.5000 0.5000 0.5000 Pb
```